Entry 1:
Diffraction record for CeFe4P12. The X-ray powder pattern is computed, not measured: it uses a crystal structure in the Materials Project, relaxed with PBE and Cu Kα, 1.54184 Å.

Atomic structure:
a b c (Å): 7.7865 7.7865 7.7865
angles (deg): 90.00 90.00 90.00
Space group Im-3 (No. 204)
Unique sites:
Ce 0.0000 0.0000 0.0000 [2 per cell]
Fe 0.2500 0.2500 0.2500 [8 per cell]
P 0.0000 0.3510 0.1515 [24 per cell]

Most intense lines, 5 to 70 degrees two-theta, low angle first:
| d (Å) | Position (°2θ) | intensity | h k l |
| --- | --- | --- | --- |
| 5.506 | 16.10 | 40 | 1 1 0 |
| 3.179 | 28.07 | 25 | 2 1 1 |
| 2.753 | 32.52 | 85 | 2 2 0 |
| 2.462 | 36.49 | 100 | 3 0 1 |
| 2.081 | 43.49 | 71 | 3 1 2 |
| 1.741 | 52.56 | 16 | 4 0 2 |
| 1.589 | 58.03 | 63 | 4 2 2 |
| 1.527 | 60.64 | 44 | 4 3 1 |

---

Entry 2:
Diffraction record for CePuFe4. The X-ray powder pattern is computed, not measured: it uses a crystal structure in the Materials Project, relaxed with PBE and Cu Kα, 1.54184 Å.

Atomic structure:
a b c (Å): 6.9887 6.9887 6.9887
angles (deg): 90.00 90.00 90.00
Space group F-43m (No. 216)
Unique sites:
Ce 0.0000 0.0000 0.0000 [4 per cell]
Pu 0.2500 0.2500 0.2500 [4 per cell]
Fe 0.1241 0.1241 0.6241 [16 per cell]

Most intense lines, 5 to 70 degrees two-theta, low angle first:
| d (Å) | Position (°2θ) | intensity | h k l |
| --- | --- | --- | --- |
| 4.035 | 22.03 | 31 | 1 1 1 |
| 3.494 | 25.49 | 5 | 2 0 0 |
| 2.471 | 36.36 | 74 | 2 2 0 |
| 2.107 | 42.92 | 100 | 3 1 1 |
| 2.017 | 44.93 | 12 | 2 2 2 |
| 1.603 | 57.48 | 8 | 3 3 1 |
| 1.427 | 65.42 | 27 | 4 2 2 |
| 1.345 | 69.95 | 31 | 3 3 3 |

---

Entry 3:
Diffraction record for Ce2FeRu3. The X-ray powder pattern is computed, not measured: it uses a crystal structure in the Materials Project, relaxed with PBE and Cu Kα, 1.54184 Å.

Atomic structure:
a b c (Å): 5.4866 5.4866 11.9082
angles (deg): 90.00 90.00 120.00
Space group R-3m (No. 166, hexagonal axes)
Unique sites:
Ce 0.0000 0.0000 0.1279 [6 per cell]
Fe 0.0000 0.0000 0.5000 [3 per cell]
Ru 0.0000 0.5000 0.0000 [9 per cell]

Most intense lines, 5 to 70 degrees two-theta, low angle first:
| d (Å) | Position (°2θ) | intensity | h k l |
| --- | --- | --- | --- |
| 2.743 | 32.64 | 35 | 1 1 0 |
| 2.523 | 35.59 | 52 | 1 0 4 |
| 2.330 | 38.65 | 79 | 0 2 1 |
| 2.257 | 39.95 | 100 | 1 1 3 |
| 2.207 | 40.90 | 44 | 2 0 2 |
| 2.129 | 42.46 | 35 | 0 1 5 |
| 1.471 | 63.21 | 25 | 3 0 3 |
| 1.372 | 68.39 | 30 | 2 2 0 |